Diffraction record for CaSiO3. The powder diffractogram is simulated, not measured: it uses DFT lattice parameters and positions (PBE) and Cu Kα (λ = 1.5418 Å).
Peak positions follow from Bragg's law for the DFT cell and can differ from measured ones.

The 10 most intense peaks (2θ = 10–90°), low angle first:
- hkl 0 0 2, 22.90°, intensity 16
- hkl 2 0 0, 25.03°, intensity 22
- hkl 2 0 -1, 26.50°, intensity 27
- hkl 2 0 1, 28.61°, intensity 24
- hkl 0 2 -2, 29.70°, intensity 100
- hkl 2 2 0, 35.90°, intensity 18
- hkl 3 0 -1, 38.57°, intensity 13
- hkl 1 2 2, 40.99°, intensity 12
- hkl 0 4 -1, 49.31°, intensity 20
- hkl -3 2 2, 52.37°, intensity 14

Crystal structure
Unit cell a=7.151 b=7.393 c=8.025 alpha=103.45 beta=95.52 gamma=90.08
Atoms (fractional coordinates):
Ca: 0.030 0.251 0.004
Ca: 0.260 0.924 0.698
Ca: 0.263 0.430 0.705
Ca: 0.737 0.570 0.295
Ca: 0.740 0.076 0.302
Ca: 0.970 0.749 0.996
Si: 0.229 0.113 0.315
Si: 0.230 0.546 0.316
Si: 0.442 0.777 0.105
Si: 0.558 0.223 0.895
Si: 0.770 0.454 0.684
Si: 0.771 0.887 0.685
O: 0.034 0.036 0.196
O: 0.034 0.564 0.199
O: 0.233 0.128 0.518
O: 0.237 0.632 0.520
O: 0.271 0.320 0.279
O: 0.298 0.731 0.931
O: 0.331 0.226 0.899
O: 0.406 0.629 0.231
O: 0.407 0.988 0.230
O: 0.593 0.012 0.770
O: 0.594 0.371 0.769
O: 0.669 0.774 0.101
O: 0.702 0.269 0.069
O: 0.729 0.680 0.721
O: 0.763 0.368 0.480
O: 0.767 0.872 0.482
O: 0.966 0.436 0.801
O: 0.966 0.964 0.804